The following is a computed powder X-ray diffraction pattern of Cs2Sc2PaTe6. It was derived from a GGA-PBE-relaxed structure, using λ = 1.5418 Å (Cu Kα).
Neutral-atom scattering factors, no anomalous dispersion.

Most intense lines, 2θ from 10° to 80°, by intensity:
| d [Å] | I (rel.) |
| --- | --- |
| 3.290 | 100 |
| 3.272 | 50 |
| 2.155 | 36 |
| 2.530 | 28 |
| 1.803 | 26 |
| 6.299 | 25 |
| 3.059 | 19 |
| 2.161 | 19 |
| 2.714 | 19 |
| 5.296 | 18 |
| 3.092 | 15 |
| 2.078 | 14 |

Cell and atoms:
abc: 7.4793 7.4793 9.5000
angles: 97.36 97.36 120.20
Atoms (fractional coordinates):
Cs: 0.1638 0.8362 0.0000
Cs: 0.8362 0.1638 0.0000
Sc: 0.3325 0.6675 0.5000
Sc: 0.6675 0.3325 0.5000
Pa: 0.0000 0.0000 0.5000
Te: 0.0620 0.4033 0.6839
Te: 0.2858 0.2858 0.3164
Te: 0.4033 0.0620 0.6839
Te: 0.5967 0.9380 0.3161
Te: 0.7142 0.7142 0.6836
Te: 0.9380 0.5967 0.3161

The following is a computed powder X-ray diffraction pattern of Sc4Cu3Pt2. It was derived from a GGA-PBE-relaxed structure, using λ = 1.5418 Å (Cu Kα).
Neutral-atom scattering factors, no anomalous dispersion.

Most intense lines, 2θ from 10° to 80°, by intensity:
| d [Å] | I (rel.) |
| --- | --- |
| 2.245 | 100 |
| 2.375 | 89 |
| 3.570 | 79 |
| 1.947 | 30 |
| 1.632 | 27 |
| 1.320 | 26 |
| 1.797 | 23 |
| 2.942 | 19 |
| 2.999 | 16 |
| 1.296 | 16 |
| 3.889 | 15 |
| 1.901 | 14 |

Cell and atoms:
abc: 4.4905 4.4905 8.9972
angles: 90.00 90.00 120.00
Atoms (fractional coordinates):
Sc: 0.0000 0.0000 0.1662
Sc: 0.0000 0.0000 0.8338
Sc: 0.3333 0.6667 0.3878
Sc: 0.6667 0.3333 0.6122
Cu: 0.0000 0.0000 0.5000
Cu: 0.3333 0.6667 0.9988
Cu: 0.6667 0.3333 0.0012
Pt: 0.3333 0.6667 0.6942
Pt: 0.6667 0.3333 0.3058

The following is a computed powder X-ray diffraction pattern of LiZn2Pd9. It was derived from a GGA-PBE-relaxed structure, using λ = 1.5418 Å (Cu Kα).
Neutral-atom scattering factors, no anomalous dispersion.

Most intense lines, 2θ from 10° to 80°, by intensity:
| d [Å] | I (rel.) |
| --- | --- |
| 2.256 | 100 |
| 1.956 | 32 |
| 1.381 | 20 |
| 1.950 | 16 |
| 1.383 | 10 |
| 3.908 | 8 |
| 2.763 | 7 |
| 1.595 | 3 |
| 1.749 | 2 |
| 3.710 | 1 |
| 1.745 | 1 |
| 5.851 | 1 |

Cell and atoms:
abc: 3.9118 3.9118 11.7021
angles: 90.00 90.00 90.00
Atoms (fractional coordinates):
Li: 0.0000 0.0000 0.0000
Zn: 0.0000 0.0000 0.3332
Zn: 0.0000 0.0000 0.6668
Pd: 0.0000 0.5000 0.1658
Pd: 0.0000 0.5000 0.5000
Pd: 0.0000 0.5000 0.8342
Pd: 0.5000 0.0000 0.1658
Pd: 0.5000 0.0000 0.5000
Pd: 0.5000 0.0000 0.8342
Pd: 0.5000 0.5000 0.0000
Pd: 0.5000 0.5000 0.3315
Pd: 0.5000 0.5000 0.6685

The following is a computed powder X-ray diffraction pattern of Ca2TbIrO6. It was derived from a GGA-PBE-relaxed structure, using λ = 1.5418 Å (Cu Kα).
Neutral-atom scattering factors, no anomalous dispersion.

Most intense lines, 2θ from 10° to 80°, by intensity:
| d [Å] | I (rel.) |
| --- | --- |
| 4.045 | 100 |
| 2.872 | 55 |
| 2.847 | 54 |
| 2.022 | 40 |
| 2.918 | 27 |
| 2.810 | 24 |
| 1.815 | 17 |
| 1.802 | 17 |
| 1.625 | 13 |
| 1.661 | 13 |
| 1.639 | 12 |
| 1.838 | 11 |

Cell and atoms:
abc: 5.6199 5.8352 9.7851
angles: 90.00 124.35 90.00
Atoms (fractional coordinates):
Ca: 0.2335 0.0565 0.2506
Ca: 0.2335 0.4435 0.7506
Ca: 0.7665 0.5565 0.2494
Ca: 0.7665 0.9435 0.7494
Tb: 0.5000 0.0000 0.0000
Tb: 0.5000 0.5000 0.5000
Ir: 0.0000 0.0000 0.5000
Ir: 0.0000 0.5000 0.0000
O: 0.1170 0.2167 0.9379
O: 0.1170 0.2833 0.4379
O: 0.2299 0.6869 0.9441
O: 0.2299 0.8131 0.4441
O: 0.3432 0.0444 0.7321
O: 0.3432 0.4556 0.2321
O: 0.6568 0.5444 0.7679
O: 0.6568 0.9556 0.2679
O: 0.7701 0.1869 0.5559
O: 0.7701 0.3131 0.0559
O: 0.8830 0.7167 0.5621
O: 0.8830 0.7833 0.0621

The following is a computed powder X-ray diffraction pattern of Pm3AuSeCl. It was derived from a GGA-PBE-relaxed structure, using λ = 1.5418 Å (Cu Kα).
Neutral-atom scattering factors, no anomalous dispersion.

Most intense lines, 2θ from 10° to 80°, by intensity:
| d [Å] | I (rel.) |
| --- | --- |
| 2.739 | 100 |
| 3.220 | 81 |
| 2.820 | 77 |
| 2.193 | 76 |
| 2.749 | 75 |
| 2.455 | 62 |
| 3.083 | 59 |
| 7.423 | 59 |
| 2.029 | 55 |
| 3.202 | 44 |
| 1.938 | 39 |
| 2.644 | 38 |

Cell and atoms:
abc: 7.8449 4.0585 11.0166
angles: 90.00 108.88 90.00
Atoms (fractional coordinates):
Pm: 0.1485 0.2500 0.1485
Pm: 0.2041 0.2500 0.4929
Pm: 0.3221 0.7500 0.8307
Pm: 0.6779 0.2500 0.1693
Pm: 0.7959 0.7500 0.5071
Pm: 0.8515 0.7500 0.8515
Au: 0.0163 0.2500 0.7021
Au: 0.9837 0.7500 0.2979
Se: 0.3888 0.7500 0.1041
Se: 0.6112 0.2500 0.8959
Cl: 0.4779 0.7500 0.6186
Cl: 0.5221 0.2500 0.3814

The following is a computed powder X-ray diffraction pattern of NaSnPb14. It was derived from a GGA-PBE-relaxed structure, using λ = 1.5418 Å (Cu Kα).
Neutral-atom scattering factors, no anomalous dispersion.

Most intense lines, 2θ from 10° to 80°, by intensity:
| d [Å] | I (rel.) |
| --- | --- |
| 2.879 | 100 |
| 1.764 | 25 |
| 2.501 | 17 |
| 2.493 | 17 |
| 2.485 | 17 |
| 1.507 | 15 |
| 1.503 | 15 |
| 1.500 | 15 |
| 1.439 | 13 |
| 1.760 | 12 |
| 1.250 | 2 |
| 1.247 | 2 |

Cell and atoms:
abc: 7.0505 7.0505 9.9733
angles: 90.00 90.00 90.36
Atoms (fractional coordinates):
Na: 0.0000 0.0000 0.0000
Sn: 0.5000 0.5000 0.0000
Pb: 0.0000 0.0000 0.5000
Pb: 0.0000 0.5000 0.0000
Pb: 0.0000 0.5000 0.5000
Pb: 0.2533 0.2533 0.2466
Pb: 0.2533 0.2533 0.7534
Pb: 0.2529 0.7471 0.2472
Pb: 0.2529 0.7471 0.7528
Pb: 0.5000 0.0000 0.0000
Pb: 0.5000 0.0000 0.5000
Pb: 0.5000 0.5000 0.5000
Pb: 0.7471 0.2529 0.2472
Pb: 0.7471 0.2529 0.7528
Pb: 0.7467 0.7467 0.2466
Pb: 0.7467 0.7467 0.7534

The following is a computed powder X-ray diffraction pattern of AgRhBr2. It was derived from a GGA-PBE-relaxed structure, using λ = 1.5418 Å (Cu Kα).
Neutral-atom scattering factors, no anomalous dispersion.

Most intense lines, 2θ from 10° to 80°, by intensity:
| d [Å] | I (rel.) |
| --- | --- |
| 6.356 | 100 |
| 2.112 | 91 |
| 2.583 | 73 |
| 2.374 | 34 |
| 4.448 | 25 |
| 3.161 | 23 |
| 1.314 | 19 |
| 3.390 | 16 |
| 1.695 | 16 |
| 2.119 | 15 |
| 2.224 | 14 |
| 1.759 | 13 |

Cell and atoms:
abc: 3.5176 4.7483 12.7112
angles: 90.00 90.00 90.00
Atoms (fractional coordinates):
Ag: 0.0000 0.0000 0.0000
Ag: 0.5000 0.5000 0.5000
Rh: 0.0000 0.0000 0.5000
Rh: 0.5000 0.5000 0.0000
Br: 0.0000 0.5000 0.1390
Br: 0.0000 0.5000 0.8610
Br: 0.5000 0.0000 0.3610
Br: 0.5000 0.0000 0.6390

The following is a computed powder X-ray diffraction pattern of V5CrRu2. It was derived from a GGA-PBE-relaxed structure, using λ = 1.5418 Å (Cu Kα).
Neutral-atom scattering factors, no anomalous dispersion.

Most intense lines, 2θ from 10° to 80°, by intensity:
| d [Å] | I (rel.) |
| --- | --- |
| 2.107 | 100 |
| 2.099 | 50 |
| 1.213 | 29 |
| 1.484 | 15 |
| 1.218 | 15 |
| 5.985 | 11 |
| 2.659 | 10 |
| 1.496 | 8 |
| 2.968 | 6 |
| 2.993 | 3 |
| 1.980 | 3 |
| 1.718 | 3 |

Cell and atoms:
abc: 4.1971 4.1971 11.9703
angles: 90.00 90.00 90.00
Atoms (fractional coordinates):
V: 0.0000 0.0000 0.0000
V: 0.0000 0.5000 0.1204
V: 0.0000 0.5000 0.3796
V: 0.0000 0.5000 0.6204
V: 0.0000 0.5000 0.8796
V: 0.5000 0.0000 0.1204
V: 0.5000 0.0000 0.3796
V: 0.5000 0.0000 0.6204
V: 0.5000 0.0000 0.8796
V: 0.5000 0.5000 0.5000
Cr: 0.0000 0.0000 0.5000
Cr: 0.5000 0.5000 0.0000
Ru: 0.0000 0.0000 0.2503
Ru: 0.0000 0.0000 0.7497
Ru: 0.5000 0.5000 0.2497
Ru: 0.5000 0.5000 0.7503

The following is a computed powder X-ray diffraction pattern of TbThCoHg. It was derived from a GGA-PBE-relaxed structure, using λ = 1.5418 Å (Cu Kα).
Neutral-atom scattering factors, no anomalous dispersion.

Most intense lines, 2θ from 10° to 80°, by intensity:
| d [Å] | I (rel.) |
| --- | --- |
| 2.749 | 100 |
| 2.941 | 62 |
| 1.971 | 52 |
| 3.275 | 32 |
| 1.565 | 29 |
| 2.377 | 24 |
| 2.576 | 21 |
| 1.602 | 20 |
| 3.377 | 20 |
| 1.918 | 13 |
| 1.243 | 12 |
| 1.637 | 12 |

Cell and atoms:
abc: 6.8233 3.9436 8.0598
angles: 90.00 106.46 90.00
Atoms (fractional coordinates):
Tb: 0.0000 0.0000 0.0000
Tb: 0.5000 0.5000 0.0000
Th: 0.2938 0.5000 0.3830
Th: 0.7938 0.0000 0.3830
Co: 0.4013 0.0000 0.2037
Co: 0.9013 0.5000 0.2037
Hg: 0.2338 0.0000 0.7021
Hg: 0.7338 0.5000 0.7021

The following is a computed powder X-ray diffraction pattern of SiTe2W. It was derived from a GGA-PBE-relaxed structure, using λ = 1.5418 Å (Cu Kα).
Neutral-atom scattering factors, no anomalous dispersion.

Most intense lines, 2θ from 10° to 80°, by intensity:
| d [Å] | I (rel.) |
| --- | --- |
| 3.268 | 100 |
| 2.131 | 71 |
| 7.786 | 59 |
| 2.420 | 37 |
| 1.577 | 24 |
| 1.800 | 23 |
| 2.105 | 23 |
| 2.643 | 23 |
| 2.595 | 20 |
| 3.601 | 18 |
| 1.479 | 14 |
| 1.328 | 14 |

Cell and atoms:
abc: 3.6005 3.6005 7.7862
angles: 90.00 90.00 90.00
Atoms (fractional coordinates):
Si: 0.0000 0.0000 0.0000
Te: 0.0000 0.5000 0.7173
Te: 0.5000 0.0000 0.2827
W: 0.5000 0.5000 0.0000

The following is a computed powder X-ray diffraction pattern of LiCePCO7. It was derived from a GGA-PBE-relaxed structure, using λ = 1.5418 Å (Cu Kα).
Neutral-atom scattering factors, no anomalous dispersion.

Most intense lines, 2θ from 10° to 80°, by intensity:
| d [Å] | I (rel.) |
| --- | --- |
| 5.614 | 100 |
| 3.618 | 91 |
| 3.514 | 71 |
| 3.683 | 38 |
| 2.521 | 33 |
| 2.649 | 33 |
| 1.879 | 28 |
| 1.811 | 27 |
| 2.223 | 24 |
| 4.325 | 23 |
| 3.112 | 23 |
| 2.060 | 18 |

Cell and atoms:
abc: 4.4459 7.0274 9.5963
angles: 90.00 103.39 90.00
Atoms (fractional coordinates):
Li: 0.1978 0.0000 0.2230
Li: 0.8022 0.5000 0.7770
Ce: 0.3318 0.8880 0.6867
Ce: 0.6682 0.3880 0.3133
P: 0.2063 0.3877 0.5907
P: 0.7937 0.8877 0.4093
C: 0.1107 0.8468 0.9434
C: 0.8893 0.3468 0.0566
O: 0.0515 0.8379 0.0633
O: 0.0727 0.2807 0.1769
O: 0.1471 0.8988 0.4256
O: 0.2388 0.3958 0.4323
O: 0.3406 0.2026 0.6666
O: 0.3637 0.5603 0.6797
O: 0.3672 0.9243 0.9207
O: 0.6328 0.4243 0.0793
O: 0.6363 0.0603 0.3203
O: 0.6594 0.7026 0.3334
O: 0.7612 0.8958 0.5677
O: 0.8529 0.3988 0.5744
O: 0.9273 0.7807 0.8231
O: 0.9485 0.3379 0.9367

The following is a computed powder X-ray diffraction pattern of Y4NpN5. It was derived from a GGA-PBE-relaxed structure, using λ = 1.5418 Å (Cu Kα).
Neutral-atom scattering factors, no anomalous dispersion.

Most intense lines, 2θ from 10° to 80°, by intensity:
| d [Å] | I (rel.) |
| --- | --- |
| 2.828 | 100 |
| 2.446 | 51 |
| 1.733 | 35 |
| 1.475 | 29 |
| 2.455 | 25 |
| 1.414 | 18 |
| 1.729 | 17 |
| 4.145 | 17 |
| 5.469 | 16 |
| 1.479 | 15 |
| 3.867 | 7 |
| 1.223 | 5 |

Cell and atoms:
abc: 5.9944 5.9944 5.9944
angles: 99.66 99.66 131.65
Atoms (fractional coordinates):
Y: 0.0990 0.6997 0.7987
Y: 0.3003 0.0990 0.3993
Y: 0.6997 0.9010 0.6007
Y: 0.9010 0.3003 0.2013
Np: 0.5000 0.5000 0.0000
N: 0.0000 0.0000 0.0000
N: 0.2141 0.4065 0.6205
N: 0.4065 0.7859 0.1924
N: 0.5935 0.2141 0.8076
N: 0.7859 0.5935 0.3795